No. 1
Starting from a cell relaxed with PBE, the powder diffraction line list of Nd4Re6O19 was simulated for Cu Kα, 1.54184 Å.
Lines closer than 0.1° are merged.

Peak list (10 most intense, 2θ from 10° to 90°, sorted by position)
d [Å]  2theta  Rel. int.
6.441  13.7  20
4.554  19.5  33
3.719  23.9  38
2.880  31.0  100
2.434  36.9  52
1.859  49.0  14
1.786  51.1  66
1.663  55.2  22
1.518  61.0  31
1.406  66.5  13

Crystal structure
```
Nd4Re6O19
1.0
-4.5544 4.5544 4.5544
4.5544 -4.5544 4.5544
4.5544 4.5544 -4.5544
Nd Re O
4 6 19
Direct
0.0000 0.0000 0.3059
0.0000 0.3059 0.0000
0.3059 0.0000 0.0000
0.6941 0.6941 0.6941
0.1330 0.5000 0.6330
0.3670 0.8670 0.5000
0.5000 0.3670 0.8670
0.5000 0.6330 0.1330
0.6330 0.1330 0.5000
0.8670 0.5000 0.3670
0.0000 0.0000 0.0000
0.0000 0.3194 0.3194
0.0000 0.6806 0.6806
0.0584 0.7148 0.3384
0.2800 0.6564 0.9416
0.2852 0.3436 0.6235
0.3194 0.0000 0.3194
0.3194 0.3194 0.0000
0.3384 0.0584 0.7148
0.3436 0.6235 0.2852
0.3765 0.7200 0.6616
0.6235 0.2852 0.3436
0.6564 0.9416 0.2800
0.6616 0.3765 0.7200
0.6806 0.0000 0.6806
0.6806 0.6806 0.0000
0.7148 0.3384 0.0584
0.7200 0.6616 0.3765
0.9416 0.2800 0.6564
```



No. 2
Starting from a cell relaxed with PBE, the powder diffraction line list of Nd6Rh2O was simulated for Cu Kα, 1.54184 Å.
Lines closer than 0.1° are merged.

Peak list (10 most intense, 2θ from 10° to 90°, sorted by position)
d [Å]  2theta  Rel. int.
2.984  29.9  80
2.941  30.4  100
2.870  31.2  44
2.847  31.4  45
2.759  32.4  36
2.690  33.3  40
2.671  33.6  34
2.454  36.6  35
1.751  52.3  29
1.595  57.8  31

Crystal structure
```
Nd6Rh2O
1.0
6.5433 0.0000 0.0000
0.0000 7.2697 0.0000
-6.3831 0.0000 9.9784
Nd Rh O
12 4 2
Direct
0.1071 0.0385 0.2404
0.1071 0.4615 0.7404
0.2365 0.6811 0.0643
0.2365 0.8189 0.5643
0.3809 0.1691 0.0632
0.3809 0.3309 0.5632
0.6191 0.6691 0.4368
0.6191 0.8309 0.9368
0.7635 0.1811 0.4357
0.7635 0.3189 0.9357
0.8929 0.5385 0.2596
0.8929 0.9615 0.7596
0.3082 0.1102 0.7517
0.3082 0.3898 0.2517
0.6918 0.6102 0.7483
0.6918 0.8898 0.2483
0.0000 0.0000 0.0000
0.0000 0.5000 0.5000
```



No. 3
Starting from a cell relaxed with PBE, the powder diffraction line list of Nd4Rh2O was simulated for Cu Kα, 1.54184 Å.
Lines closer than 0.1° are merged.

Peak list (10 most intense, 2θ from 10° to 90°, sorted by position)
d [Å]  2theta  Rel. int.
3.084  29.0  100
2.502  35.9  43
2.492  36.0  56
2.442  36.8  16
2.404  37.4  70
1.734  52.8  28
1.713  53.5  21
1.700  53.9  24
1.489  62.4  23
1.404  66.6  19

Crystal structure
```
Nd4Rh2O
1.0
4.8076 0.0000 0.0000
0.0000 4.8076 0.0000
0.0000 0.0000 14.6535
Nd Rh O
8 4 2
Direct
0.0000 0.0000 0.1877
0.0000 0.0000 0.8123
0.0000 0.5000 0.0000
0.0000 0.5000 0.5000
0.5000 0.0000 0.0000
0.5000 0.0000 0.5000
0.5000 0.5000 0.3123
0.5000 0.5000 0.6877
0.0000 0.0000 0.3724
0.0000 0.0000 0.6276
0.5000 0.5000 0.1276
0.5000 0.5000 0.8724
0.0000 0.0000 0.0000
0.5000 0.5000 0.5000
```



No. 4
Starting from a cell relaxed with PBE, the powder diffraction line list of SrNdRhO4 was simulated for Cu Kα, 1.54184 Å.
Lines closer than 0.1° are merged.

Peak list (10 most intense, 2θ from 10° to 90°, sorted by position)
d [Å]  2theta  Rel. int.
6.207  14.3  19
2.867  31.2  100
2.812  31.8  70
2.106  42.9  19
2.084  43.4  13
1.988  45.6  35
1.667  55.1  17
1.634  56.3  39
1.434  65.1  12
1.258  75.6  11

Crystal structure
```
SrNdRhO4
1.0
3.9769 0.0000 0.0000
0.0000 3.9769 0.0000
0.0000 0.0000 12.4139
Sr Nd Rh O
2 2 2 8
Direct
0.0000 0.0000 0.0000
0.5000 0.5000 0.5000
0.0000 0.0000 0.7178
0.5000 0.5000 0.2178
0.0000 0.0000 0.3633
0.5000 0.5000 0.8633
0.0000 0.0000 0.1925
0.0000 0.0000 0.5330
0.0000 0.5000 0.3394
0.0000 0.5000 0.8394
0.5000 0.0000 0.3394
0.5000 0.0000 0.8394
0.5000 0.5000 0.0330
0.5000 0.5000 0.6925
```



No. 5
Starting from a cell relaxed with PBE, the powder diffraction line list of NdRu2O8 was simulated for Cu Kα, 1.54184 Å.
Lines closer than 0.1° are merged.

Peak list (10 most intense, 2θ from 10° to 90°, sorted by position)
d [Å]  2theta  Rel. int.
5.603  15.8  53
4.853  18.3  9
3.431  26.0  100
2.926  30.5  9
2.227  40.5  21
1.981  45.8  39
1.716  53.4  20
1.535  60.3  16
1.297  72.9  21
1.144  84.8  11

Crystal structure
```
NdRu2O8
1.0
0.0000 4.8527 4.8527
4.8527 0.0000 4.8527
4.8527 4.8527 0.0000
Nd Ru O
1 2 8
Direct
0.0000 0.0000 0.0000
0.2500 0.2500 0.2500
0.7500 0.7500 0.7500
0.1451 0.1451 0.1451
0.1451 0.1451 0.5648
0.1451 0.5648 0.1451
0.4352 0.8549 0.8549
0.5648 0.1451 0.1451
0.8549 0.4352 0.8549
0.8549 0.8549 0.4352
0.8549 0.8549 0.8549
```



No. 6
Starting from a cell relaxed with PBE, the powder diffraction line list of Nd2SO6 was simulated for Cu Kα, 1.54184 Å.
Lines closer than 0.1° are merged.

Peak list (10 most intense, 2θ from 10° to 90°, sorted by position)
d [Å]  2theta  Rel. int.
7.371  12.0  20
4.024  22.1  10
3.185  28.0  100
2.958  30.2  33
2.410  37.3  12
2.092  43.3  13
2.012  45.1  10
1.890  48.1  24
1.748  52.3  32
1.593  57.9  12

Crystal structure
```
Nd2SO6
1.0
-2.0916 2.0916 7.3707
2.0916 -2.0916 7.3707
2.0916 2.0916 -7.3707
Nd S O
2 1 6
Direct
0.1731 0.1731 0.0000
0.8269 0.8269 0.0000
0.5000 0.5000 0.0000
0.2384 0.6427 0.0000
0.2500 0.7500 0.5000
0.3573 0.3573 0.5957
0.6427 0.2384 0.0000
0.7500 0.2500 0.5000
0.7616 0.7616 0.4043
```



No. 7
Starting from a cell relaxed with PBE, the powder diffraction line list of Nd3S3O was simulated for Cu Kα, 1.54184 Å.
Lines closer than 0.1° are merged.

Peak list (10 most intense, 2θ from 10° to 90°, sorted by position)
d [Å]  2theta  Rel. int.
4.780  18.6  65
3.434  25.9  51
2.850  31.4  100
2.819  31.7  41
2.731  32.8  29
2.468  36.4  35
2.390  37.6  67
2.151  42.0  34
1.857  49.1  32
1.622  56.8  38

Crystal structure
```
Nd3S3O
1.0
4.9370 2.8504 1.9213
-4.9370 2.8504 1.9213
0.0000 -5.7008 1.9213
Nd S O
3 3 1
Direct
0.2026 0.2026 0.5949
0.2026 0.5949 0.2026
0.5949 0.2026 0.2026
0.1194 0.6752 0.6752
0.6752 0.1194 0.6752
0.6752 0.6752 0.1194
0.2754 0.2754 0.2754
```



No. 8
Starting from a cell relaxed with PBE, the powder diffraction line list of NdSmSO2 was simulated for Cu Kα, 1.54184 Å.
Lines closer than 0.1° are merged.

Peak list (10 most intense, 2θ from 10° to 90°, sorted by position)
d [Å]  2theta  Rel. int.
6.175  14.3  15
3.710  24.0  38
2.827  31.6  100
2.751  32.6  40
2.054  44.1  22
1.945  46.7  22
1.647  55.8  25
1.607  57.3  11
1.602  57.5  36
1.143  84.8  10

Crystal structure
```
NdSmSO2
1.0
3.8901 0.0000 0.0000
0.0000 3.8901 0.0000
0.0000 0.0000 12.3504
Nd Sm S O
2 2 2 4
Direct
0.0000 0.0000 0.0000
0.5000 0.5000 0.5000
0.0000 0.0000 0.6980
0.5000 0.5000 0.1980
0.0000 0.0000 0.3503
0.5000 0.5000 0.8503
0.0000 0.5000 0.1018
0.0000 0.5000 0.6018
0.5000 0.0000 0.1018
0.5000 0.0000 0.6018
```



No. 9
Starting from a cell relaxed with PBE, the powder diffraction line list of NdSnS2O was simulated for Cu Kα, 1.54184 Å.
Lines closer than 0.1° are merged.

Peak list (10 most intense, 2θ from 10° to 90°, sorted by position)
d [Å]  2theta  Rel. int.
3.449  25.8  31
3.418  26.1  100
2.990  29.9  21
2.783  32.2  74
2.594  34.6  18
2.166  41.7  46
1.968  46.1  37
1.709  53.6  17
1.705  53.7  30
1.392  67.3  17

Crystal structure
```
NdSnS2O
1.0
3.9358 0.0000 0.0000
0.0000 3.9358 0.0000
0.0000 0.0000 13.7951
Nd Sn S O
2 2 4 2
Direct
0.2500 0.2500 0.0905
0.7500 0.7500 0.9095
0.2500 0.2500 0.6252
0.7500 0.7500 0.3748
0.2500 0.2500 0.3995
0.2500 0.2500 0.8025
0.7500 0.7500 0.1975
0.7500 0.7500 0.6005
0.2500 0.7500 0.0000
0.7500 0.2500 0.0000
```



No. 10
Starting from a cell relaxed with PBE, the powder diffraction line list of NdZrS2O was simulated for Cu Kα, 1.54184 Å.
Lines closer than 0.1° are merged.

Peak list (10 most intense, 2θ from 10° to 90°, sorted by position)
d [Å]  2theta  Rel. int.
6.698  13.2  23
3.349  26.6  25
3.323  26.8  100
2.906  30.8  28
2.706  33.1  76
2.520  35.6  35
2.105  43.0  38
1.913  47.5  33
1.722  53.2  28
1.658  55.4  28

Crystal structure
```
NdZrS2O
1.0
3.8268 0.0000 0.0000
0.0000 3.8268 0.0000
0.0000 0.0000 13.3953
Nd Zr S O
2 2 4 2
Direct
0.2500 0.2500 0.0958
0.7500 0.7500 0.9042
0.2500 0.2500 0.6027
0.7500 0.7500 0.3973
0.2500 0.2500 0.3999
0.2500 0.2500 0.7849
0.7500 0.7500 0.2151
0.7500 0.7500 0.6001
0.2500 0.7500 0.0000
0.7500 0.2500 0.0000
```